# 1
Starting from a GGA-PBE-relaxed structure, the powder X-ray diffraction pattern of Ca5In2As5 was calculated for Cu Kα.
No peak broadening, texture or thermal motion is included.

Largest 8 diffraction maxima, in order of rising 2θ, 2θ from 10° to 80°:
two_theta, d/Å, intensity, (hkl)
12.81, 6.910, 59, 1 1 0
18.15, 4.886, 52, 2 0 0
23.95, 3.716, 89, 2 1 1
28.40, 3.143, 38, 1 1 2
30.22, 2.958, 51, 3 0 1
36.39, 2.469, 100, 2 2 2
36.79, 2.443, 70, 4 0 0
38.73, 2.325, 91, 3 1 2

Structural model:
a b c (Å): 9.7727 9.7727 7.0588
angles (deg): 90.00 90.00 90.00
Space group I4mm (No. 107)
Asymmetric unit:
Ca 0.0000 0.0000 0.0000 x2
Ca 0.2003 0.2003 0.5603 x8
In 0.0000 0.5000 0.1265 x4
As 0.0000 0.0000 0.4155 x2
As 0.0000 0.2879 0.8746 x8

# 2
Starting from a GGA-PBE-relaxed structure, the powder X-ray diffraction pattern of Ca2In2As2P was calculated for Cu Kα.
No peak broadening, texture or thermal motion is included.

Largest 8 diffraction maxima, in order of rising 2θ, 2θ from 10° to 80°:
two_theta, d/Å, intensity, (hkl)
13.44, 6.588, 60, 0 0 1
14.49, 6.112, 80, 0 1 1
14.64, 6.050, 57, 0 1 0
27.07, 3.294, 61, 0 0 2
27.66, 3.224, 87, -1 1 1
33.49, 2.676, 100, 1 2 0
34.68, 2.587, 78, 1 2 2
45.34, 2.000, 94, 1 0 -3

Structural model:
a b c (Å): 4.1409 6.9525 7.4646
angles (deg): 62.30 89.57 80.37
Space group P-1 (No. 2)
Asymmetric unit:
Ca 0.1017 0.1827 0.2153 x2
In 0.2624 0.6154 0.2812 x2
As 0.2928 0.1912 0.6166 x2
P 0.5000 0.5000 0.0000 x1